Starting from the GGA-PBE geometry in Alexandria, the powder XRD pattern of LiNiBRh was calculated for a wavelength of 1.5418 Å.

Structural model:
```
LiNiBRh
1.0
0.000 2.682 2.682
2.682 0.000 2.682
2.682 2.682 0.000
Li Ni B Rh
1 1 1 1
direct
0.000 0.000 0.000
0.250 0.250 0.250
0.500 0.500 0.500
0.750 0.750 0.750
```

Principal peaks in the range 2θ = 10–80°, in order of falling intensity:
Position (°2θ)  intensity
33.4  100
48.0  95
80.0  30
59.7  24
70.2  14
28.8  13
56.9  6
77.6  3